(1)
Cs4ZnHg4: computed powder XRD pattern (Cu Kα), based on a GGA-PBE-relaxed structure.
Lines closer than 0.1° are merged.

```
Cs4ZnHg4
1.0
-3.8806 3.8806 7.7735
3.8806 -3.8806 7.7735
3.8806 3.8806 -7.7735
Cs Zn Hg
4 1 4
Cartesian
2.2167 2.2167 -2.1675
1.6639 -1.6639 9.9410
1.6639 1.6639 5.6060
-1.6639 1.6639 9.9410
0.0000 0.0000 0.0000
2.2357 -2.2357 6.1371
1.6449 1.6449 1.6364
-2.2357 2.2357 6.1371
2.2357 2.2357 9.4099
```

Main lines, by angle (2θ = 10–90°):
d = 3.883 Å, 22.9°, I 100; d = 3.388 Å, 26.3°, I 23; d = 3.172 Å, 28.1°, I 19; d = 2.884 Å, 31.0°, I 20; d = 2.745 Å, 32.6°, I 86; d = 2.242 Å, 40.2°, I 20; d = 1.869 Å, 48.7°, I 20; d = 1.831 Å, 49.8°, I 15; d = 1.769 Å, 51.7°, I 18; d = 1.736 Å, 52.7°, I 14

(2)
NdPuRu: computed powder XRD pattern (Cu Kα), based on a GGA-PBE-relaxed structure.
Lines closer than 0.1° are merged.

```
NdPuRu
1.0
4.4272 0.0000 0.0000
-2.2136 3.8341 0.0000
0.0000 0.0000 4.4314
Nd Pu Ru
1 1 1
Cartesian
0.0000 0.0000 0.0000
2.2136 1.2780 2.2157
0.0000 2.5560 2.2157
```

Main lines, by angle (2θ = 10–90°):
d = 4.431 Å, 20.0°, I 16; d = 3.834 Å, 23.2°, I 12; d = 2.899 Å, 30.8°, I 100; d = 2.214 Å, 40.8°, I 66; d = 1.980 Å, 45.8°, I 11; d = 1.759 Å, 52.0°, I 24; d = 1.566 Å, 59.0°, I 34; d = 1.378 Å, 68.1°, I 32; d = 1.278 Å, 74.2°, I 9; d = 1.107 Å, 88.3°, I 13

(3)
YTeBr: computed powder XRD pattern (Cu Kα), based on a GGA-PBE-relaxed structure.
Lines closer than 0.1° are merged.

```
YTeBr
1.0
8.6017 0.0000 0.0000
0.0000 8.6017 0.0000
0.0000 0.0000 6.1476
Y Te Br
4 4 4
Cartesian
0.0000 2.2254 0.0000
0.0000 6.3763 0.0000
2.2254 0.0000 3.0738
6.3763 0.0000 3.0738
0.0000 2.1587 3.0738
0.0000 6.4430 3.0738
2.1587 0.0000 0.0000
6.4430 0.0000 0.0000
1.9224 4.3008 0.0000
4.3008 1.9224 3.0738
4.3008 6.6793 3.0738
6.6793 4.3008 0.0000
```

Main lines, by angle (2θ = 10–90°):
d = 8.602 Å, 10.3°, I 67; d = 3.847 Å, 23.1°, I 18; d = 3.524 Å, 25.3°, I 44; d = 3.074 Å, 29.1°, I 53; d = 3.041 Å, 29.4°, I 100; d = 2.162 Å, 41.8°, I 75; d = 2.150 Å, 42.0°, I 36; d = 1.762 Å, 51.9°, I 38; d = 1.372 Å, 68.4°, I 17; d = 1.244 Å, 76.6°, I 21